Simulated PXRD pattern of LiEuGe2 for λ = 1.5418 Å (Cu Kα), from a DFT-relaxed cell (GGA-PBE, the Materials Project).
Peak positions follow from Bragg's law for the DFT cell and can differ from measured ones.

Cell and atoms:
```
LiEuGe2
1.0
7.9622 0.0000 0.0000
0.0000 4.0005 0.0000
0.0000 0.0000 10.8875
Li Eu Ge
4 4 8
direct
0.0033 0.2500 0.1125 Li
0.4967 0.7500 0.6125 Li
0.5033 0.2500 0.3875 Li
0.9967 0.7500 0.8875 Li
0.1361 0.7500 0.3659 Eu
0.3639 0.2500 0.8659 Eu
0.6361 0.7500 0.1341 Eu
0.8639 0.2500 0.6341 Eu
0.1636 0.7500 0.6797 Ge
0.2227 0.7500 0.0646 Ge
0.2773 0.2500 0.5646 Ge
0.3364 0.2500 0.1797 Ge
0.6636 0.7500 0.8203 Ge
0.7227 0.7500 0.4354 Ge
0.7773 0.2500 0.9354 Ge
0.8364 0.2500 0.3203 Ge
```

Main lines, by angle (2θ from 10° to 80°):
- d = 6.427 Å, 13.8 deg, I = 540, hkl 1 0 1
- d = 3.981 Å, 22.3 deg, I = 307, hkl 2 0 0
- d = 3.302 Å, 27.0 deg, I = 377, hkl 1 0 3
- d = 2.822 Å, 31.7 deg, I = 1000, hkl 2 1 0
- d = 2.722 Å, 32.9 deg, I = 227, hkl 0 0 4
- d = 2.686 Å, 33.4 deg, I = 681, hkl 0 1 3
- d = 2.547 Å, 35.2 deg, I = 852, hkl 1 1 3
- d = 2.142 Å, 42.2 deg, I = 288, hkl 3 0 3
- d = 2.000 Å, 45.3 deg, I = 298, hkl 0 2 0
- d = 1.959 Å, 46.3 deg, I = 307, hkl 2 1 4